Starting from a DFT-relaxed cell (GGA-PBE, Alexandria), the powder diffractogram of ScNb3N4 was calculated for λ = 1.5418 Å (Cu Kα).

Principal peaks in the range 10° ≤ 2θ ≤ 80°, in order of falling intensity:
2theta	d (Å)	I_rel
40.5	2.229	100.0
34.9	2.574	80.2
35.0	2.566	79.5
58.7	1.573	77.1
40.6	2.220	49.3
69.9	1.345	21.7
70.1	1.342	21.5
70.3	1.340	21.4

```
ScNb3N4
1.0
3.1454 -4.4395 0.0000
3.1454 4.4395 0.0000
0.0000 0.0000 3.1598
Sc Nb N
1 3 4
Direct
0.0000 0.0000 0.0000
0.0000 0.5000 0.5000
0.5000 0.0000 0.5000
0.5000 0.5000 0.0000
0.2470 0.2470 0.5000
0.2478 0.7522 0.0000
0.7522 0.2478 0.0000
0.7530 0.7530 0.5000
```